Structure and computed powder XRD pattern of Ag5Br3Cl3 (a PBE-relaxed structure; Cu Kα).
No peak broadening, texture or thermal motion is included.

Peak list (8 most intense, 10 to 90 degrees two-theta, in order of falling intensity)
- d 3.487, rel. 100, (0 3 1)
- d 3.466, rel. 75, (1 0 1)
- d 2.142, rel. 71, (1 3 2)
- d 1.795, rel. 24, (2 3 1)
- d 1.849, rel. 23, (1 0 3)
- d 2.093, rel. 19, (2 0 0)
- d 1.803, rel. 17, (1 6 1)
- d 2.111, rel. 16, (0 6 0)

Cell and atoms:
Cell: 4.187 12.664 6.180 Å, 90.00 90.00 90.00°
Space group Pmm2 (No. 25)
Unique sites:
Ag  0.000  0.000  0.000 [1 per cell]
Ag  0.000  0.355  0.970 [2 per cell]
Ag  0.500  0.172  0.497 [2 per cell]
Br  0.000  0.500  0.677 [1 per cell]
Br  0.500  0.333  0.227 [2 per cell]
Cl  0.000  0.163  0.745 [2 per cell]
Cl  0.500  0.000  0.252 [1 per cell]